For PaAg5Se5, a DFT-relaxed cell (PBE, Alexandria) gives the calculated powder X-ray diffraction pattern in this record (λ = 1.5418 Å (Cu Kα)).
Peak positions follow from Bragg's law for the DFT cell and can differ from measured ones.

Atomic structure:
abc: 12.992 5.622 7.914
angles: 90.00 109.98 90.00
Space group C2/m (No. 12)
Symmetry-distinct sites (fractional):
Pa (0.000, 0.000, 0.000) [2 per cell]
Ag (0.000, 0.000, 0.500) [2 per cell]
Ag (0.166, 0.500, 0.850) [4 per cell]
Ag (0.168, 0.500, 0.320) [4 per cell]
Se (0.000, 0.500, 0.000) [2 per cell]
Se (0.148, 0.000, 0.809) [4 per cell]
Se (0.182, 0.000, 0.323) [4 per cell]

Main lines, in order of falling intensity (2θ = 10–90°):
2theta	Rel. int.	(hkl)
30.90	100.0	4 0 -2
45.90	90.1	2 2 2
31.83	89.9	0 2 0
32.18	82.9	2 0 2
44.96	64.3	4 2 -2
27.05	31.8	3 1 0
55.77	31.6	6 2 0
44.52	31.3	6 0 0
56.94	30.0	2 2 -4
11.90	29.0	0 0 1


For Nd4FeS7, a DFT-relaxed cell (PBE, Alexandria) gives the calculated powder X-ray diffraction pattern in this record (λ = 1.5418 Å (Cu Kα)).
Peak positions follow from Bragg's law for the DFT cell and can differ from measured ones.

Atomic structure:
abc: 9.514 6.822 9.819
angles: 90.00 113.20 90.00
Space group P2_1 (No. 4)
Symmetry-distinct sites (fractional):
Nd (0.106, 0.000, 0.352) [2 per cell]
Nd (0.151, 0.039, 0.865) [2 per cell]
Nd (0.264, 0.559, 0.139) [2 per cell]
Nd (0.358, 0.463, 0.617) [2 per cell]
Fe (0.471, 0.789, 0.929) [2 per cell]
S (0.021, 0.844, 0.066) [2 per cell]
S (0.088, 0.231, 0.596) [2 per cell]
S (0.147, 0.394, 0.323) [2 per cell]
S (0.232, 0.648, 0.824) [2 per cell]
S (0.368, 0.151, 0.161) [2 per cell]
S (0.383, 0.785, 0.426) [2 per cell]
S (0.440, 0.127, 0.844) [2 per cell]

Main lines, in order of falling intensity (2θ = 10–90°):
2theta	Rel. int.	(hkl)
23.64	100.0	0 1 2
24.18	47.7	2 1 0
34.44	36.0	2 2 -2
39.96	29.1	0 0 4
26.12	20.7	0 2 0
22.04	19.3	2 0 -2
38.35	19.3	4 0 -1
33.70	18.7	2 0 2
22.87	17.9	2 1 -1
44.62	17.9	0 3 2


For Pr4Nd3Y8, a DFT-relaxed cell (PBE, Alexandria) gives the calculated powder X-ray diffraction pattern in this record (λ = 1.5418 Å (Cu Kα)).
Peak positions follow from Bragg's law for the DFT cell and can differ from measured ones.

Atomic structure:
abc: 7.0784 7.0784 35.9252
angles: 90.00 90.00 120.00
Space group R-3m (No. 166, hexagonal axes)
Symmetry-distinct sites (fractional):
Pr (0.0000, 0.0000, 0.0000) [3 per cell]
Pr (0.0000, 0.0000, 0.1641) [6 per cell]
Pr (0.0000, 0.0000, 0.5000) [3 per cell]
Nd (0.0000, 0.5000, 0.0000) [9 per cell]
Y (0.0000, 0.0000, 0.2544) [6 per cell]
Y (0.0005, 0.5003, 0.2499) [18 per cell]

Main lines, in order of falling intensity (2θ = 10–90°):
2theta	Rel. int.	(hkl)
30.82	100.0	0 2 4
35.46	73.3	2 0 8
29.84	64.4	0 0 12
60.80	49.8	2 2 12
29.28	47.6	0 2 1
51.65	41.7	2 2 0
26.26	31.0	1 1 3
50.38	22.5	0 2 16
33.85	20.9	1 1 9
84.83	20.4	2 2 24


For BaH4O6, a DFT-relaxed cell (PBE, Alexandria) gives the calculated powder X-ray diffraction pattern in this record (λ = 1.5418 Å (Cu Kα)).
Peak positions follow from Bragg's law for the DFT cell and can differ from measured ones.

Atomic structure:
abc: 6.008 6.190 6.822
angles: 95.85 92.48 93.51
Space group P1 (No. 1)
Symmetry-distinct sites (fractional):
Ba (0.000, 0.000, 0.000) [1 per cell]
Ba (0.253, 0.585, 0.446) [1 per cell]
H (0.005, 0.448, 0.906) [1 per cell]
H (0.156, 0.137, 0.567) [1 per cell]
H (0.460, 0.732, 0.977) [1 per cell]
H (0.473, 0.060, 0.284) [1 per cell]
H (0.651, 0.867, 0.706) [1 per cell]
H (0.744, 0.832, 0.396) [1 per cell]
H (0.749, 0.525, 0.171) [1 per cell]
H (0.802, 0.438, 0.625) [1 per cell]
O (0.043, 0.549, 0.050) [1 per cell]
O (0.169, 0.008, 0.373) [1 per cell]
O (0.180, 0.246, 0.697) [1 per cell]
O (0.338, 0.151, 0.284) [1 per cell]
O (0.382, 0.786, 0.851) [1 per cell]
O (0.550, 0.953, 0.801) [1 per cell]
O (0.566, 0.674, 0.163) [1 per cell]
O (0.670, 0.882, 0.265) [1 per cell]
O (0.696, 0.537, 0.560) [1 per cell]
O (0.829, 0.749, 0.580) [1 per cell]
O (0.892, 0.433, 0.175) [1 per cell]
O (0.951, 0.307, 0.746) [1 per cell]

Main lines, in order of falling intensity (2θ = 10–90°):
2theta	Rel. int.	(hkl)
14.79	100.0	1 0 0
20.50	98.7	0 1 1
18.45	81.3	0 1 -1
19.28	67.9	1 0 -1
30.96	58.8	1 0 2
32.07	58.2	2 0 -1
26.31	50.1	0 0 2
32.28	49.9	1 1 -2
33.31	48.5	2 0 1
31.85	46.5	1 -2 0


For Ba6Ca6Cu9Hg3O25, a DFT-relaxed cell (PBE, Alexandria) gives the calculated powder X-ray diffraction pattern in this record (λ = 1.5418 Å (Cu Kα)).
Peak positions follow from Bragg's law for the DFT cell and can differ from measured ones.

Atomic structure:
abc: 16.390 5.475 17.057
angles: 90.00 108.67 90.00
Space group C2/m (No. 12)
Symmetry-distinct sites (fractional):
Ba (0.055, 0.000, 0.165) [4 per cell]
Ba (0.108, 0.500, 0.824) [4 per cell]
Ba (0.225, 0.500, 0.176) [4 per cell]
Ca (0.034, 0.500, 0.602) [4 per cell]
Ca (0.132, 0.000, 0.396) [4 per cell]
Ca (0.200, 0.000, 0.601) [4 per cell]
Cu (0.000, 0.000, 0.500) [2 per cell]
Cu (0.066, 0.000, 0.698) [4 per cell]
Cu (0.100, 0.500, 0.301) [4 per cell]
Cu (0.167, 0.500, 0.500) [4 per cell]
Cu (0.233, 0.500, 0.698) [4 per cell]
Hg (0.000, 0.500, 0.000) [2 per cell]
Hg (0.162, 0.000, 0.000) [4 per cell]
O (0.000, 0.000, 0.000) [2 per cell]
O (0.018, 0.252, 0.304) [8 per cell]
O (0.042, 0.500, 0.128) [4 per cell]
O (0.083, 0.250, 0.500) [8 per cell]
O (0.128, 0.000, 0.873) [4 per cell]
O (0.149, 0.250, 0.696) [8 per cell]
O (0.185, 0.252, 0.304) [8 per cell]
O (0.213, 0.000, 0.127) [4 per cell]
O (0.250, 0.250, 0.500) [4 per cell]

Main lines, in order of falling intensity (2θ = 10–90°):
2theta	Rel. int.	(hkl)
28.41	100.0	3 1 2
32.75	84.8	0 2 0
32.04	71.6	3 1 3
25.54	49.4	3 1 1
46.99	48.8	6 2 -2
33.25	46.0	0 0 6
55.83	31.2	3 3 2
47.37	28.2	0 2 6
58.01	26.1	3 3 3
36.22	21.9	3 1 4


For Na4Cd2Ag, a DFT-relaxed cell (PBE, Alexandria) gives the calculated powder X-ray diffraction pattern in this record (λ = 1.5418 Å (Cu Kα)).
Peak positions follow from Bragg's law for the DFT cell and can differ from measured ones.

Atomic structure:
abc: 6.402 7.669 9.327
angles: 74.31 70.20 66.40
Space group P1 (No. 1)
Symmetry-distinct sites (fractional):
Na (0.000, 0.000, 0.000) [1 per cell]
Na (0.002, 0.463, 0.537) [1 per cell]
Na (0.031, 0.503, 0.905) [1 per cell]
Na (0.453, 0.470, 0.143) [1 per cell]
Na (0.495, 0.528, 0.486) [1 per cell]
Na (0.509, 0.932, 0.050) [1 per cell]
Na (0.550, 0.991, 0.394) [1 per cell]
Na (0.972, 0.959, 0.632) [1 per cell]
Cd (0.003, 0.231, 0.268) [1 per cell]
Cd (0.379, 0.145, 0.714) [1 per cell]
Cd (0.500, 0.731, 0.768) [1 per cell]
Cd (0.623, 0.317, 0.822) [1 per cell]
Ag (0.106, 0.829, 0.317) [1 per cell]
Ag (0.897, 0.633, 0.219) [1 per cell]

Main lines, in order of falling intensity (2θ = 10–90°):
2theta	Rel. int.	(hkl)
20.86	100.0	1 0 -1
16.31	89.1	1 0 1
20.49	81.7	0 0 2
36.17	78.3	1 -2 1
36.67	72.9	1 3 2
38.64	65.5	2 3 1
34.87	63.6	2 1 3
27.88	46.2	2 1 1
31.61	41.9	2 0 0
38.50	39.4	1 0 -3